Diffraction record for AcNd4Sm5. The X-ray powder pattern is theoretical, not measured: it uses the GGA-PBE geometry in Alexandria and Cu Kα X-rays.
Peak positions follow from Bragg's law for the DFT cell and can differ from measured ones.

Principal peaks in the range 10° ≤ 2θ ≤ 90°, by angle:
h k l, Position (°2θ), I/Imax
1 0 5, 29.66, 100
1 1 0, 34.20, 35
0 0 10, 34.74, 16
2 0 0, 49.14, 13
1 1 10, 49.54, 23
2 1 5, 58.45, 30
1 0 15, 59.17, 13
2 0 10, 61.58, 12
3 0 5, 79.78, 6
2 1 15, 80.40, 11

Structural model:
```
data_AcNd4Sm5
_chemical_formula_sum 'Ac1 Nd4 Sm5'
_cell_length_a 3.7080
_cell_length_b 3.7080
_cell_length_c 25.8235
_cell_angle_alpha 90.00
_cell_angle_beta 90.00
_cell_angle_gamma 90.00
_space_group_name_H-M_alt 'P 4/m m m'
_space_group_IT_number 123
_space_group_name_Hall '-P 4 2'
loop_
_atom_site_label
_atom_site_type_symbol
_atom_site_fract_x
_atom_site_fract_y
_atom_site_fract_z
Ac1 Ac 0.0000 0.0000 0.0000
Nd1 Nd 0.0000 0.0000 0.2044
Nd2 Nd 0.0000 0.0000 0.4015
Sm1 Sm 0.5000 0.5000 0.1064
Sm2 Sm 0.5000 0.5000 0.3032
Sm3 Sm 0.5000 0.5000 0.5000
```